# Pr7Sm3Dy2
Computed X-ray powder pattern, λ = 1.5418 Å (Cu Kα). Input: a cell relaxed with GGA-PBE.
Intensities are scaled so that the largest is 100.

Cell and atoms:
```
data_Pr7Sm3Dy2
_cell_length_a 5.9891
_cell_length_b 3.6445
_cell_length_c 19.3583
_cell_angle_alpha 90.00
_cell_angle_beta 93.44
_cell_angle_gamma 90.00
_symmetry_space_group_name_H-M 'P 1 2/m 1'
_symmetry_Int_Tables_number 10
_symmetry_space_group_name_Hall '-P 2y'
loop_
_atom_site_label
_atom_site_type_symbol
_atom_site_fract_x
_atom_site_fract_y
_atom_site_fract_z
Pr1 Pr 0.0000 0.0000 0.0000
Pr2 Pr 0.1800 0.5000 0.1836
Pr3 Pr 0.2573 0.5000 0.5351
Pr4 Pr 0.3228 0.0000 0.8542
Sm1 Sm 0.2165 0.0000 0.3665
Sm2 Sm 0.5000 0.5000 0.0000
Dy1 Dy 0.2933 0.5000 0.7030
```

Peak list (8 most intense, 5 to 70 degrees two-theta, in order of rising 2θ)
| d [Å] | I (rel.) |
| --- | --- |
| 3.221 | 31 |
| 2.985 | 96 |
| 2.935 | 100 |
| 2.909 | 83 |
| 2.837 | 29 |
| 2.766 | 39 |
| 2.654 | 41 |
| 1.822 | 21 |